1.
# YZn11
Calculated powder diffractogram, Cu Kα (λ = 1.5418 Å). Input: a GGA-PBE-relaxed structure.
No peak broadening, texture or thermal motion is included.

Structure:
Cell: 8.212 8.212 8.212 Å, 99.99 99.99 130.78°
Sites, in units of the cell vectors:
Y 0.375 0.625 0.750
Y 0.625 0.375 0.250
Zn 0.000 0.000 0.000
Zn 0.000 0.000 0.500
Zn 0.000 0.500 0.000
Zn 0.125 0.875 0.250
Zn 0.130 0.554 0.334
Zn 0.130 0.797 0.576
Zn 0.203 0.280 0.334
Zn 0.203 0.870 0.924
Zn 0.280 0.203 0.834
Zn 0.280 0.446 0.076
Zn 0.446 0.280 0.576
Zn 0.446 0.870 0.166
Zn 0.500 0.000 0.500
Zn 0.554 0.130 0.834
Zn 0.554 0.720 0.424
Zn 0.720 0.554 0.924
Zn 0.720 0.797 0.166
Zn 0.797 0.130 0.076
Zn 0.797 0.720 0.666
Zn 0.870 0.203 0.424
Zn 0.870 0.446 0.666
Zn 0.875 0.125 0.750

Top 8 peaks for 10° ≤ 2θ ≤ 90°, by intensity:
- 37.65°, 2.389 Å, rel. 100
- 44.92°, 2.018 Å, rel. 92
- 38.12°, 2.361 Å, rel. 74
- 46.76°, 1.943 Å, rel. 39
- 33.28°, 2.692 Å, rel. 36
- 40.48°, 2.228 Å, rel. 34
- 44.11°, 2.053 Å, rel. 31
- 68.58°, 1.368 Å, rel. 31

2.
# CdSiTeMoHW
Calculated powder diffractogram, Cu Kα (λ = 1.5418 Å). Input: a GGA-PBE-relaxed structure.
No peak broadening, texture or thermal motion is included.

Structure:
Cell: 3.219 3.243 9.568 Å, 90.00 90.00 90.00°
Sites, in units of the cell vectors:
Cd 0.000 0.000 0.000
Si 0.500 0.000 0.615
Te 0.500 0.000 0.283
Mo 0.000 0.500 0.462
H 0.500 0.500 0.848
W 0.000 0.500 0.746

Top 8 peaks for 10° ≤ 2θ ≤ 90°, by intensity:
- 29.07°, 3.072 Å, rel. 100
- 39.63°, 2.274 Å, rel. 93
- 29.27°, 3.051 Å, rel. 72
- 43.92°, 2.062 Å, rel. 71
- 39.79°, 2.266 Å, rel. 62
- 40.60°, 2.222 Å, rel. 60
- 39.44°, 2.285 Å, rel. 46
- 37.60°, 2.392 Å, rel. 43